Record 1
Theoretical XRD peak list of RbMgPtF6 for Cu Kα (λ = 1.5418 Å), from DFT lattice parameters and positions (GGA-PBE).

Most intense lines, 10° ≤ 2θ ≤ 90°, in order of rising 2θ:
2θ/deg	d (Å)	Rel. int.
14.46	6.126	816
18.42	4.816	553
18.86	4.705	268
23.35	3.809	1000
23.64	3.763	939
23.85	3.732	893
32.71	2.737	406
40.06	2.251	243
43.45	2.083	258
44.55	2.034	471

Cell and atoms:
```
RbMgPtF6
1.0
2.8029 -4.7053 0.0000
2.8029 4.7053 0.0000
-0.0894 0.0000 6.1257
Rb Mg Pt F
1 1 1 6
Direct
0.0000 0.0000 0.0000
0.3300 0.6700 0.5000
0.6674 0.3326 0.5000
0.9999 0.3629 0.6690
0.0375 0.6388 0.2983
0.3612 0.9625 0.7017
0.3657 0.3586 0.3293
0.6371 0.0001 0.3310
0.6414 0.6343 0.6707
```

---

Record 2
Theoretical XRD peak list of Li2Cd2Ag3 for Cu Kα (λ = 1.5418 Å), from DFT lattice parameters and positions (GGA-PBE).

Most intense lines, 10° ≤ 2θ ≤ 90°, in order of rising 2θ:
2θ/deg	d (Å)	Rel. int.
13.45	6.581	150
19.08	4.651	184
24.91	3.575	119
26.71	3.338	197
37.24	2.415	333
37.44	2.402	1000
42.99	2.104	216
43.12	2.098	219
44.22	2.048	207
63.56	1.464	133

Cell and atoms:
```
Li2Cd2Ag3
1.0
4.0967 0.0000 0.0000
2.0353 4.6947 0.0000
0.0301 0.9085 6.5809
Li Cd Ag
2 2 3
Direct
0.2104 0.0793 0.1374
0.7896 0.9207 0.8626
0.3590 0.7798 0.5825
0.6410 0.2202 0.4175
0.0791 0.3397 0.7280
0.5000 0.5000 0.0000
0.9209 0.6603 0.2720
```

---

Record 3
Theoretical XRD peak list of KTiI3 for Cu Kα (λ = 1.5418 Å), from DFT lattice parameters and positions (GGA-PBE).

Most intense lines, 10° ≤ 2θ ≤ 90°, in order of rising 2θ:
2θ/deg	d (Å)	Rel. int.
12.46	7.103	652
23.15	3.842	388
25.34	3.514	1000
27.13	3.286	444
28.33	3.150	431
29.27	3.051	524
32.56	2.750	316
35.95	2.498	252
37.28	2.412	217
52.04	1.757	305

Cell and atoms:
```
KTiI3
1.0
14.2050 0.0000 0.0000
-7.1025 12.3019 0.0000
0.0000 0.0000 6.8207
K Ti I
6 6 18
Direct
0.0014 0.3038 0.0000
0.3024 0.9986 0.0000
0.3038 0.3024 0.5000
0.6962 0.6976 0.0000
0.6976 0.0014 0.5000
0.9986 0.6962 0.5000
0.0000 0.0000 0.2376
0.0000 0.0000 0.7376
0.3333 0.6667 0.4424
0.3333 0.6667 0.9967
0.6667 0.3333 0.4967
0.6667 0.3333 0.9424
0.0011 0.8335 0.9873
0.1359 0.5769 0.2196
0.1665 0.1677 0.9873
0.1677 0.0011 0.4873
0.2334 0.4850 0.7199
0.2516 0.7666 0.7199
0.4231 0.5590 0.2196
0.4410 0.8641 0.2196
0.4850 0.2516 0.2199
0.5150 0.7484 0.7199
0.5590 0.1359 0.7196
0.5769 0.4410 0.7196
0.7484 0.2334 0.2199
0.7666 0.5150 0.2199
0.8323 0.9989 0.9873
0.8335 0.8323 0.4873
0.8641 0.4231 0.7196
0.9989 0.1665 0.4873
```

---

Record 4
Theoretical XRD peak list of PrPd6Au2 for Cu Kα (λ = 1.5418 Å), from DFT lattice parameters and positions (GGA-PBE).

Most intense lines, 10° ≤ 2θ ≤ 90°, in order of rising 2θ:
2θ/deg	d (Å)	Rel. int.
25.33	3.516	520
26.48	3.366	303
30.67	2.915	147
40.18	2.244	337
43.92	2.061	1000
52.02	1.758	147
61.03	1.518	126
63.86	1.458	154
80.74	1.190	298
86.29	1.127	117

Cell and atoms:
```
PrPd6Au2
1.0
0.0000 5.8306 5.8306
5.8306 0.0000 5.8306
5.8306 5.8306 0.0000
Pr Pd Au
2 12 4
Direct
0.1250 0.1250 0.1250
0.8750 0.8750 0.8750
0.1086 0.1086 0.6414
0.1086 0.6414 0.1086
0.1086 0.6414 0.6414
0.3586 0.3586 0.8914
0.3586 0.8914 0.3586
0.3586 0.8914 0.8914
0.6414 0.1086 0.1086
0.6414 0.1086 0.6414
0.6414 0.6414 0.1086
0.8914 0.3586 0.3586
0.8914 0.3586 0.8914
0.8914 0.8914 0.3586
0.0000 0.5000 0.5000
0.5000 0.0000 0.5000
0.5000 0.5000 0.0000
0.5000 0.5000 0.5000
```